Starting from DFT lattice parameters and positions (PBE), the X-ray diffraction stick pattern of PmDy3Pb2C was computed for Cu Ka.

```
data_PmDy3Pb2C
_chemical_formula_sum 'Pm2 Dy6 Pb4 C2'
_cell_length_a 4.848
_cell_length_b 4.955
_cell_length_c 16.148
_cell_angle_alpha 90.00
_cell_angle_beta 90.00
_cell_angle_gamma 90.00
_space_group_name_H-M_alt 'I m m m'
_space_group_IT_number 71
_space_group_name_Hall '-I 2 2'
loop_
_atom_site_label
_atom_site_fract_x
_atom_site_fract_y
_atom_site_fract_z
Pm1 0.000 0.000 0.000
Dy1 0.000 0.000 0.500
Dy2 0.000 0.500 0.157
Pb1 0.000 0.500 0.357
C1 0.000 0.500 0.000
```

Peak list (10 most intense, 2θ = 10–90°, in order of rising 2θ)
2theta, I_rel, (hkl)
25.7, 25, 1 1 0
28.0, 57, 1 1 2
33.3, 28, 0 0 6
34.1, 100, 1 1 4
36.3, 30, 0 2 0
37.1, 28, 2 0 0
50.0, 18, 0 2 6
52.8, 20, 2 2 0
63.6, 20, 1 1 10
63.9, 33, 1 3 4